Computed XRD peak list
Compound: SbIrS
Radiation: CuKα
Structure: a crystal structure in the Materials Project, relaxed with GGA-PBE
Neutral-atom scattering factors, no anomalous dispersion.

Principal peaks in the range 2θ from 15° to 90°, low angle first:
| 2theta | I/Imax | hkl |
| --- | --- | --- |
| 25.26 | 60 | 1 1 1 |
| 29.24 | 80 | 0 0 2 |
| 32.79 | 40 | 2 0 1 |
| 36.03 | 38 | 1 2 1 |
| 41.84 | 50 | 2 0 2 |
| 49.50 | 100 | 1 1 3 |
| 51.86 | 18 | 2 2 2 |
| 56.37 | 16 | 2 3 1 |
| 76.40 | 16 | 2 2 4 |
| 81.93 | 24 | 1 1 5 |

Cell lengths 6.112, 6.098, 6.112 Å; angles 90.00, 90.00, 90.00 degrees
Space group Pca2_1 (No. 29)
Symmetry-distinct sites (fractional):
Sb 0.120 0.134 0.000 (multiplicity 4)
Ir 0.011 0.733 0.883 (multiplicity 4)
S 0.118 0.626 0.261 (multiplicity 4)

---

Computed XRD peak list
Compound: SrF3
Radiation: CuKα
Structure: a crystal structure in the Materials Project, relaxed with GGA-PBE
Neutral-atom scattering factors, no anomalous dispersion.

Principal peaks in the range 2θ from 15° to 90°, low angle first:
| 2theta | I/Imax | hkl |
| --- | --- | --- |
| 25.87 | 79 | 1 0 1 |
| 26.84 | 18 | 0 0 2 |
| 31.42 | 24 | 1 1 0 |
| 41.78 | 100 | 1 1 2 |
| 45.03 | 39 | 2 0 0 |
| 46.82 | 17 | 1 0 3 |
| 52.66 | 24 | 2 1 1 |
| 66.98 | 12 | 2 1 3 |
| 73.99 | 15 | 2 0 4 |
| 80.84 | 24 | 3 1 2 |

Cell lengths 4.027, 4.027, 6.643 Å; angles 90.00, 90.00, 90.00 degrees
Space group I4/mmm (No. 139)
Symmetry-distinct sites (fractional):
Sr 0.000 0.000 0.000 (multiplicity 2)
F 0.000 0.000 0.500 (multiplicity 2)
F 0.000 0.500 0.250 (multiplicity 4)

---

Computed XRD peak list
Compound: CeSmO2
Radiation: CuKα
Structure: a crystal structure in the Materials Project, relaxed with GGA-PBE
Neutral-atom scattering factors, no anomalous dispersion.

Principal peaks in the range 2θ from 15° to 90°, low angle first:
| 2theta | I/Imax | hkl |
| --- | --- | --- |
| 31.12 | 100 | 1 1 2 |
| 36.09 | 81 | 2 0 1 |
| 51.95 | 55 | 2 2 2 |
| 61.79 | 30 | 1 3 3 |
| 61.86 | 15 | 3 1 3 |
| 64.89 | 18 | 2 2 4 |
| 76.60 | 6 | 4 0 2 |
| 84.89 | 14 | 3 3 4 |
| 87.59 | 10 | 2 4 3 |
| 87.72 | 14 | 4 2 3 |

Cell lengths 4.974, 4.984, 6.096 Å; angles 65.88, 65.93, 89.99 degrees
Space group P1 (No. 1)
Symmetry-distinct sites (fractional):
Ce 0.000 0.000 0.000 (multiplicity 1)
Ce 0.250 0.752 0.501 (multiplicity 1)
Sm 0.502 0.500 0.000 (multiplicity 1)
Sm 0.751 0.252 0.501 (multiplicity 1)
O 0.252 0.255 0.498 (multiplicity 1)
O 0.499 0.001 0.000 (multiplicity 1)
O 0.750 0.751 0.501 (multiplicity 1)
O 0.999 0.492 0.007 (multiplicity 1)

---

Computed XRD peak list
Compound: CeMg6V
Radiation: CuKα
Structure: a crystal structure in the Materials Project, relaxed with GGA-PBE
Neutral-atom scattering factors, no anomalous dispersion.

Principal peaks in the range 2θ from 15° to 90°, low angle first:
| 2theta | I/Imax | hkl |
| --- | --- | --- |
| 15.50 | 29 | 0 0 2 |
| 15.61 | 85 | 0 1 1 |
| 23.65 | 67 | 1 0 2 |
| 31.52 | 41 | 0 2 2 |
| 32.54 | 31 | 1 1 3 |
| 35.84 | 38 | 2 0 0 |
| 36.18 | 66 | 1 0 4 |
| 36.37 | 100 | 1 2 2 |
| 48.46 | 24 | 2 2 2 |
| 68.17 | 23 | 2 2 6 |

Cell lengths 5.011, 6.541, 11.434 Å; angles 90.00, 90.00, 90.00 degrees
Space group Amm2 (No. 38)
Symmetry-distinct sites (fractional):
Ce 0.000 0.000 0.000 (multiplicity 2)
Mg 0.000 0.000 0.480 (multiplicity 2)
Mg 0.000 0.241 0.242 (multiplicity 4)
Mg 0.500 0.000 0.653 (multiplicity 2)
Mg 0.500 0.242 0.396 (multiplicity 4)
V 0.500 0.000 0.145 (multiplicity 2)

---

Computed XRD peak list
Compound: YErSn2Pd4
Radiation: CuKα
Structure: a crystal structure in the Materials Project, relaxed with GGA-PBE
Neutral-atom scattering factors, no anomalous dispersion.

Principal peaks in the range 2θ from 15° to 90°, low angle first:
| 2theta | I/Imax | hkl |
| --- | --- | --- |
| 21.67 | 2 | 1 0 1 |
| 28.68 | 1 | 0 1 5 |
| 37.40 | 100 | 1 1 0 |
| 37.54 | 99 | 0 1 8 |
| 39.20 | 1 | 1 1 3 |
| 54.04 | 34 | 2 0 8 |
| 67.53 | 53 | 3 0 0 |
| 67.84 | 17 | 1 0 16 |
| 79.77 | 11 | 2 2 0 |
| 80.12 | 11 | 0 2 16 |

Cell lengths 4.8087, 4.8087, 23.4296 Å; angles 90.00, 90.00, 120.00 degrees
Space group R-3m (No. 166, hexagonal axes)
Symmetry-distinct sites (fractional):
Y 0.0000 0.0000 0.0000 (multiplicity 3)
Er 0.0000 0.0000 0.5000 (multiplicity 3)
Sn 0.0000 0.0000 0.2500 (multiplicity 6)
Pd 0.0000 0.0000 0.1255 (multiplicity 6)
Pd 0.0000 0.0000 0.3753 (multiplicity 6)

---

Computed XRD peak list
Compound: Ba2PrIrO6
Radiation: CuKα
Structure: a crystal structure in the Materials Project, relaxed with GGA-PBE
Neutral-atom scattering factors, no anomalous dispersion.

Principal peaks in the range 2θ from 15° to 90°, low angle first:
| 2theta | I/Imax | hkl |
| --- | --- | --- |
| 29.30 | 100 | 1 1 1 |
| 41.91 | 27 | 0 0 4 |
| 51.94 | 28 | 2 0 -6 |
| 52.00 | 14 | 0 2 4 |
| 60.73 | 9 | 2 2 2 |
| 60.81 | 8 | 2 2 -6 |
| 68.83 | 9 | 3 3 -1 |
| 68.91 | 9 | 1 1 5 |
| 84.01 | 9 | 3 1 3 |
| 84.07 | 7 | 2 4 -6 |

Cell lengths 6.106, 6.092, 10.556 Å; angles 90.00, 125.29, 90.00 degrees
Space group P2_1/c (No. 14)
Symmetry-distinct sites (fractional):
Ba 0.249 0.012 0.249 (multiplicity 4)
Pr 0.000 0.000 0.500 (multiplicity 2)
Ir 0.500 0.000 0.000 (multiplicity 2)
O 0.230 0.211 0.979 (multiplicity 4)
O 0.267 0.749 0.477 (multiplicity 4)
O 0.313 0.004 0.771 (multiplicity 4)

---

Computed XRD peak list
Compound: TaTiAlC
Radiation: CuKα
Structure: a crystal structure in the Materials Project, relaxed with GGA-PBE
Neutral-atom scattering factors, no anomalous dispersion.

Principal peaks in the range 2θ from 15° to 90°, low angle first:
| 2theta | I/Imax | hkl |
| --- | --- | --- |
| 33.51 | 21 | 1 0 0 |
| 34.15 | 28 | 0 1 1 |
| 36.01 | 31 | 0 1 2 |
| 38.93 | 100 | 1 0 3 |
| 39.05 | 19 | 0 0 6 |
| 42.74 | 18 | 1 0 4 |
| 52.39 | 17 | 0 1 6 |
| 59.91 | 20 | 1 1 0 |
| 70.67 | 15 | 1 0 9 |
| 73.83 | 33 | 1 1 6 |

Cell lengths 3.0878, 3.0878, 13.8384 Å; angles 90.00, 90.00, 120.00 degrees
Space group P-3m1 (No. 164)
Symmetry-distinct sites (fractional):
Ta 0.3333 0.6667 0.4096 (multiplicity 2)
Ti 0.3333 0.6667 0.0828 (multiplicity 2)
Al 0.3333 0.6667 0.7544 (multiplicity 2)
C 0.0000 0.0000 0.0000 (multiplicity 1)
C 0.0000 0.0000 0.5000 (multiplicity 1)

---

Computed XRD peak list
Compound: MgTe2Mo2W2Se4S2
Radiation: CuKα
Structure: a crystal structure in the Materials Project, relaxed with GGA-PBE
Neutral-atom scattering factors, no anomalous dispersion.

Principal peaks in the range 2θ from 15° to 90°, low angle first:
| 2theta | I/Imax | hkl |
| --- | --- | --- |
| 30.90 | 54 | 1 0 0 |
| 31.14 | 22 | 0 1 2 |
| 32.44 | 35 | 1 0 5 |
| 34.74 | 80 | 0 1 8 |
| 36.74 | 48 | 1 0 10 |
| 40.35 | 100 | 0 1 13 |
| 41.69 | 19 | 0 1 14 |
| 43.09 | 42 | 1 0 15 |
| 54.94 | 42 | 1 1 0 |
| 55.92 | 23 | 1 1 5 |

Cell lengths 3.3428, 3.3428, 45.7318 Å; angles 90.00, 90.00, 120.00 degrees
Space group P3m1 (No. 156)
Symmetry-distinct sites (fractional):
Mg 0.0000 0.0000 0.0000 (multiplicity 1)
Te 0.6667 0.3333 0.6905 (multiplicity 1)
Te 0.6667 0.3333 0.7735 (multiplicity 1)
Mo 0.3333 0.6667 0.7320 (multiplicity 1)
Mo 0.6667 0.3333 0.9136 (multiplicity 1)
W 0.3333 0.6667 0.1172 (multiplicity 1)
W 0.6667 0.3333 0.2963 (multiplicity 1)
Se 0.3333 0.6667 0.2596 (multiplicity 1)
Se 0.3333 0.6667 0.3329 (multiplicity 1)
Se 0.6667 0.3333 0.0805 (multiplicity 1)
Se 0.6667 0.3333 0.1539 (multiplicity 1)
S 0.3333 0.6667 0.8808 (multiplicity 1)
S 0.3333 0.6667 0.9476 (multiplicity 1)

---

Computed XRD peak list
Compound: Eu2AgPb
Radiation: CuKα
Structure: a crystal structure in the Materials Project, relaxed with GGA-PBE
Neutral-atom scattering factors, no anomalous dispersion.

Principal peaks in the range 2θ from 15° to 90°, low angle first:
| 2theta | I/Imax | hkl |
| --- | --- | --- |
| 19.58 | 5 | 1 1 1 |
| 32.24 | 100 | 2 2 0 |
| 37.99 | 3 | 3 1 1 |
| 46.23 | 18 | 4 0 0 |
| 50.66 | 1 | 3 3 1 |
| 57.48 | 38 | 4 2 2 |
| 67.45 | 12 | 4 4 0 |
| 70.99 | 1 | 5 3 1 |
| 76.74 | 17 | 6 2 0 |
| 85.69 | 4 | 4 4 4 |

Cell lengths 7.855, 7.855, 7.855 Å; angles 90.00, 90.00, 90.00 degrees
Space group Fm-3m (No. 225)
Symmetry-distinct sites (fractional):
Eu 0.250 0.250 0.250 (multiplicity 8)
Ag 0.000 0.000 0.000 (multiplicity 4)
Pb 0.000 0.000 0.500 (multiplicity 4)

---

Computed XRD peak list
Compound: CuHg3As2Cl3
Radiation: CuKα
Structure: a crystal structure in the Materials Project, relaxed with GGA-PBE
Neutral-atom scattering factors, no anomalous dispersion.

Principal peaks in the range 2θ from 15° to 90°, low angle first:
| 2theta | I/Imax | hkl |
| --- | --- | --- |
| 23.90 | 92 | 0 2 2 |
| 25.36 | 29 | 6 0 -4 |
| 25.52 | 31 | 6 0 0 |
| 28.45 | 61 | 0 0 4 |
| 28.63 | 100 | 6 2 -2 |
| 29.53 | 19 | 6 2 -1 |
| 40.70 | 33 | 6 2 -6 |
| 40.91 | 37 | 6 2 2 |
| 42.86 | 25 | 12 0 -4 |
| 47.09 | 41 | 6 4 0 |

Cell lengths 25.320, 9.251, 15.171 Å; angles 90.00, 124.19, 90.00 degrees
Space group C2/c (No. 15)
Symmetry-distinct sites (fractional):
Cu 0.000 0.170 0.250 (multiplicity 4)
Cu 0.170 0.280 0.773 (multiplicity 8)
Hg 0.000 0.000 0.000 (multiplicity 4)
Hg 0.000 0.297 0.750 (multiplicity 4)
Hg 0.000 0.500 0.000 (multiplicity 4)
Hg 0.165 0.003 0.997 (multiplicity 8)
Hg 0.168 0.210 0.249 (multiplicity 8)
Hg 0.170 0.496 0.003 (multiplicity 8)
As 0.066 0.367 0.947 (multiplicity 8)
As 0.100 0.144 0.052 (multiplicity 8)
As 0.231 0.141 0.446 (multiplicity 8)
Cl 0.054 0.231 0.415 (multiplicity 8)
Cl 0.077 0.079 0.750 (multiplicity 8)
Cl 0.121 0.484 0.754 (multiplicity 8)
Cl 0.228 0.135 0.745 (multiplicity 8)
Cl 0.250 0.250 0.000 (multiplicity 4)

---

Copy entry 7 word for word.
Computed XRD peak list
Compound: TaTiAlC
Radiation: CuKα
Structure: a crystal structure in the Materials Project, relaxed with GGA-PBE
Neutral-atom scattering factors, no anomalous dispersion.

Principal peaks in the range 2θ from 15° to 90°, low angle first:
| 2theta | I/Imax | hkl |
| --- | --- | --- |
| 33.51 | 21 | 1 0 0 |
| 34.15 | 28 | 0 1 1 |
| 36.01 | 31 | 0 1 2 |
| 38.93 | 100 | 1 0 3 |
| 39.05 | 19 | 0 0 6 |
| 42.74 | 18 | 1 0 4 |
| 52.39 | 17 | 0 1 6 |
| 59.91 | 20 | 1 1 0 |
| 70.67 | 15 | 1 0 9 |
| 73.83 | 33 | 1 1 6 |

Cell lengths 3.0878, 3.0878, 13.8384 Å; angles 90.00, 90.00, 120.00 degrees
Space group P-3m1 (No. 164)
Symmetry-distinct sites (fractional):
Ta 0.3333 0.6667 0.4096 (multiplicity 2)
Ti 0.3333 0.6667 0.0828 (multiplicity 2)
Al 0.3333 0.6667 0.7544 (multiplicity 2)
C 0.0000 0.0000 0.0000 (multiplicity 1)
C 0.0000 0.0000 0.5000 (multiplicity 1)